[1]
Theoretical X-ray diffraction stick pattern
Compound: NaCu3Te2
Radiation: Cu Kα X-rays
Structure: a DFT-relaxed cell (GGA-PBE, the Materials Project)

```
data_NaCu3Te2
_space_group_name_H-M_alt 'R 3 m'
_space_group_IT_number 160
_space_group_name_Hall 'R 3 -2"'
_cell_length_a 4.2991
_cell_length_b 4.2991
_cell_length_c 23.8344
_cell_angle_alpha 90.00
_cell_angle_beta 90.00
_cell_angle_gamma 120.00
loop_
_atom_site_label
_atom_site_type_symbol
_atom_site_fract_x
_atom_site_fract_y
_atom_site_fract_z
Na1 Na 0.0000 0.0000 0.0000
Cu1 Cu 0.0000 0.0000 0.1467
Cu2 Cu 0.0000 0.0000 0.4657
Cu3 Cu 0.0000 0.0000 0.8718
Te1 Te 0.0000 0.0000 0.2526
Te2 Te 0.0000 0.0000 0.7557
```

Top 8 peaks for 2θ from 15° to 90°, in order of rising 2θ:
index, 2θ/deg, d_spacing, I (rel.)
0 0 6, 22.38, 3.972, 207
0 1 2, 25.06, 3.554, 605
1 0 4, 28.26, 3.157, 493
1 0 7, 35.74, 2.513, 211
0 1 8, 38.71, 2.326, 703
1 1 0, 42.03, 2.150, 1000
1 0 10, 45.17, 2.007, 499
2 0 8, 58.46, 1.579, 203

***

[2]
Theoretical X-ray diffraction stick pattern
Compound: NaCu3Te2
Radiation: Cu Kα X-rays
Structure: a DFT-relaxed cell (GGA-PBE, the Materials Project)

```
data_NaCu3Te2
_space_group_name_H-M_alt 'R -3 m'
_space_group_IT_number 166
_space_group_name_Hall '-R 3 2"'
_cell_length_a 4.2770
_cell_length_b 4.2770
_cell_length_c 23.7429
_cell_angle_alpha 90.00
_cell_angle_beta 90.00
_cell_angle_gamma 120.00
loop_
_atom_site_label
_atom_site_type_symbol
_atom_site_fract_x
_atom_site_fract_y
_atom_site_fract_z
Na1 Na 0.0000 0.0000 0.0000
Cu1 Cu 0.0000 0.0000 0.1327
Cu2 Cu 0.0000 0.0000 0.5000
Te1 Te 0.0000 0.0000 0.2466
```

Top 8 peaks for 2θ from 15° to 90°, in order of rising 2θ:
index, 2θ/deg, d_spacing, I (rel.)
0 1 2, 25.19, 3.536, 404
1 0 4, 28.40, 3.142, 449
0 1 8, 38.88, 2.316, 1000
1 1 0, 42.26, 2.138, 833
1 1 3, 43.85, 2.064, 191
2 0 8, 58.77, 1.571, 285
1 0 16, 68.06, 1.377, 150
1 2 8, 75.01, 1.266, 266

***

[3]
Theoretical X-ray diffraction stick pattern
Compound: NaZrCuTe3
Radiation: Cu Kα X-rays
Structure: a DFT-relaxed cell (GGA-PBE, the Materials Project)

```
data_NaZrCuTe3
_space_group_name_H-M_alt 'P n m a'
_space_group_IT_number 62
_space_group_name_Hall '-P 2ac 2n'
_cell_length_a 14.7864
_cell_length_b 4.0875
_cell_length_c 11.0924
_cell_angle_alpha 90.00
_cell_angle_beta 90.00
_cell_angle_gamma 90.00
loop_
_atom_site_label
_atom_site_type_symbol
_atom_site_fract_x
_atom_site_fract_y
_atom_site_fract_z
Na1 Na 0.2270 0.2500 0.0499
Zr1 Zr 0.0101 0.2500 0.3166
Cu1 Cu 0.0084 0.7500 0.0932
Te1 Te 0.1022 0.2500 0.5622
Te2 Te 0.1058 0.7500 0.8857
Te3 Te 0.1410 0.7500 0.2514
```

Top 8 peaks for 2θ from 15° to 90°, in order of rising 2θ:
index, 2θ/deg, d_spacing, I (rel.)
1 1 1, 23.97, 3.713, 299
2 0 3, 26.96, 3.307, 1000
3 1 1, 29.51, 3.027, 805
2 1 2, 29.72, 3.006, 509
3 1 2, 32.72, 2.737, 588
5 1 2, 41.02, 2.200, 878
0 2 0, 44.32, 2.044, 386
2 2 3, 52.65, 1.739, 310

***

[4]
Theoretical X-ray diffraction stick pattern
Compound: Sr2NdNbCu2O8
Radiation: Cu Kα X-rays
Structure: a DFT-relaxed cell (GGA-PBE, the Materials Project)

```
data_Sr2NdNbCu2O8
_space_group_name_H-M_alt 'C 1 2/m 1'
_space_group_IT_number 12
_space_group_name_Hall '-C 2y'
_cell_length_a 7.8369
_cell_length_b 7.8324
_cell_length_c 12.4780
_cell_angle_alpha 90.00
_cell_angle_beta 108.16
_cell_angle_gamma 90.00
loop_
_atom_site_label
_atom_site_type_symbol
_atom_site_fract_x
_atom_site_fract_y
_atom_site_fract_z
Sr1 Sr 0.0881 0.0000 0.1994
Sr2 Sr 0.0889 0.5000 0.1986
Nd1 Nd 0.2494 0.0000 0.5001
Nb1 Nb 0.2500 0.2500 0.0000
Cu1 Cu 0.0784 0.2498 0.6466
O1 O 0.0000 0.1862 0.0000
O2 O 0.0583 0.0000 0.6273
O3 O 0.0777 0.5000 0.6334
O4 O 0.1696 0.2380 0.8338
O5 O 0.1800 0.2573 0.3699
O6 O 0.1818 0.5000 0.9910
```

Top 8 peaks for 2θ from 15° to 90°, in order of rising 2θ:
index, 2θ/deg, d_spacing, I (rel.)
2 0 -2, 23.93, 3.719, 124
2 0 2, 32.17, 2.782, 1000
2 2 -1, 32.32, 2.770, 540
2 0 -5, 38.09, 2.363, 132
0 4 0, 46.36, 1.959, 340
4 2 1, 57.53, 1.602, 315
4 4 -2, 67.65, 1.385, 97
2 6 -1, 76.96, 1.239, 144